# 1
# Si2Pt9
Theoretical powder diffractogram, copper Kα. Input: a PBE-relaxed structure.

Structure:
Unit cell a=8.9874 b=8.9874 c=8.9874 alpha=90.00 beta=90.00 gamma=90.00
Space group I-43m (No. 217)
Inequivalent atoms, fractional coordinates:
Si  0.1981  0.1981  0.8019
Pt  0.0000  0.0000  0.2216
Pt  0.0544  0.3543  0.3543

Principal peaks in the range 10° ≤ 2θ ≤ 80°, in order of rising 2θ:
19.8 deg, I 14, hkl 2 0 0
28.1 deg, I 13, hkl 2 2 0
34.6 deg, I 52, hkl 2 2 2
37.4 deg, I 88, hkl 3 2 1
42.7 deg, I 100, hkl 4 1 1
51.9 deg, I 25, hkl 5 1 0
56.0 deg, I 15, hkl 5 2 1
62.0 deg, I 15, hkl 6 0 0
63.8 deg, I 10, hkl 6 1 1
78.2 deg, I 24, hkl 5 5 2



# 2
# Zn2H12N5Cl
Theoretical powder diffractogram, copper Kα. Input: a PBE-relaxed structure.

Structure:
Unit cell a=5.6803 b=10.0918 c=6.2372 alpha=90.00 beta=90.00 gamma=90.00
Space group P2_12_12 (No. 18)
Inequivalent atoms, fractional coordinates:
Zn  0.1064  0.1627  0.4554
H  0.0041  0.7375  0.0820
H  0.0153  0.3611  0.7050
H  0.0220  0.4037  0.4554
H  0.1371  0.9764  0.7098
H  0.1429  0.1225  0.0378
H  0.1441  0.8822  0.0859
N  0.0000  0.0000  0.6096
N  0.0102  0.1647  0.1272
N  0.0405  0.6684  0.5562
Cl  0.0000  0.5000  0.0504

Principal peaks in the range 10° ≤ 2θ ≤ 80°, in order of rising 2θ:
14.2 deg, I 100, hkl 0 0 1
22.7 deg, I 39, hkl 0 2 1
22.9 deg, I 60, hkl 1 1 1
23.6 deg, I 34, hkl 1 2 0
27.6 deg, I 42, hkl 1 2 1
28.6 deg, I 46, hkl 0 0 2
30.2 deg, I 23, hkl 0 3 1
30.9 deg, I 41, hkl 1 3 0
32.8 deg, I 26, hkl 2 1 0
35.9 deg, I 33, hkl 2 1 1



# 3
# SmAl8Co2
Theoretical powder diffractogram, copper Kα. Input: a PBE-relaxed structure.

Structure:
Unit cell a=12.4514 b=14.3609 c=3.9866 alpha=90.00 beta=90.00 gamma=90.00
Space group Pbam (No. 55)
Inequivalent atoms, fractional coordinates:
Sm  0.1605  0.1817  0.0000
Al  0.0000  0.0000  0.0000
Al  0.0000  0.5000  0.5000
Al  0.0245  0.8683  0.5000
Al  0.0479  0.3199  0.5000
Al  0.0958  0.7478  0.0000
Al  0.1598  0.4562  0.0000
Al  0.1595  0.6216  0.5000
Al  0.1685  0.0091  0.5000
Al  0.2359  0.8274  0.5000
Co  0.0342  0.5947  0.0000
Co  0.1524  0.9043  0.0000

Principal peaks in the range 10° ≤ 2θ ≤ 80°, in order of rising 2θ:
22.3 deg, I 97, hkl 0 0 1
25.8 deg, I 33, hkl 1 4 0
28.5 deg, I 32, hkl 3 3 0
34.4 deg, I 88, hkl 1 4 1
36.5 deg, I 100, hkl 3 3 1
37.2 deg, I 41, hkl 4 1 1
44.3 deg, I 37, hkl 5 4 0
45.5 deg, I 50, hkl 0 0 2
46.6 deg, I 40, hkl 2 7 0
50.1 deg, I 26, hkl 5 4 1



# 4
# AlGa3Ni4
Theoretical powder diffractogram, copper Kα. Input: a PBE-relaxed structure.

Structure:
Unit cell a=6.5696 b=6.5696 c=8.0846 alpha=90.00 beta=90.00 gamma=120.00
Space group R3 (No. 146, hexagonal axes)
Inequivalent atoms, fractional coordinates:
Al  0.0000  0.0000  0.0000
Ga  0.0421  0.2729  0.4579
Ni  0.0000  0.0000  0.7011
Ni  0.0958  0.6916  0.8915

Principal peaks in the range 10° ≤ 2θ ≤ 80°, in order of rising 2θ:
38.7 deg, I 23, hkl 2 0 2
43.4 deg, I 92, hkl 2 -1 3
43.6 deg, I 100, hkl 2 1 1
47.8 deg, I 22, hkl 1 0 4
47.9 deg, I 78, hkl 3 -2 2
59.7 deg, I 12, hkl 1 3 1
66.7 deg, I 13, hkl 4 0 1
76.4 deg, I 17, hkl 1 1 6
76.6 deg, I 15, hkl 1 3 4
76.7 deg, I 31, hkl 5 -3 2



# 5
# Ho2Te
Theoretical powder diffractogram, copper Kα. Input: a PBE-relaxed structure.

Structure:
Unit cell a=8.9543 b=8.9543 c=8.9543 alpha=90.00 beta=90.00 gamma=90.00
Space group Fd-3m (No. 227, origin choice 2)
Inequivalent atoms, fractional coordinates:
Ho  0.0000  0.0000  0.0000
Te  0.1250  0.1250  0.6250

Principal peaks in the range 10° ≤ 2θ ≤ 80°, in order of rising 2θ:
17.2 deg, I 15, hkl 1 1 1
28.2 deg, I 19, hkl 2 2 0
33.2 deg, I 100, hkl 3 1 1
34.7 deg, I 50, hkl 2 2 2
40.3 deg, I 10, hkl 4 0 0
49.9 deg, I 8, hkl 4 2 2
53.1 deg, I 35, hkl 5 1 1
58.3 deg, I 32, hkl 4 4 0
68.7 deg, I 12, hkl 5 3 3
69.7 deg, I 20, hkl 6 2 2



# 6
# ErLuIn
Theoretical powder diffractogram, copper Kα. Input: a PBE-relaxed structure.

Structure:
Unit cell a=5.3073 b=5.3073 c=6.6350 alpha=90.00 beta=90.00 gamma=120.00
Space group P6_3/mmc (No. 194)
Inequivalent atoms, fractional coordinates:
Er  0.3333  0.6667  0.2500
Lu  0.0000  0.0000  0.0000
In  0.3333  0.6667  0.7500

Principal peaks in the range 10° ≤ 2θ ≤ 80°, in order of rising 2θ:
23.5 deg, I 4, hkl 1 0 1
33.3 deg, I 99, hkl 1 0 2
33.8 deg, I 100, hkl 1 1 0
43.7 deg, I 6, hkl 1 1 2
48.2 deg, I 35, hkl 2 0 2
55.4 deg, I 8, hkl 0 0 4
60.1 deg, I 36, hkl 2 1 2
60.4 deg, I 19, hkl 3 0 0
66.5 deg, I 28, hkl 1 1 4
71.0 deg, I 12, hkl 2 2 0



# 7
# Na4NiGe2Pt
Theoretical powder diffractogram, copper Kα. Input: a PBE-relaxed structure.

Structure:
Unit cell a=4.6335 b=4.6335 c=6.5670 alpha=90.00 beta=90.00 gamma=90.00
Space group P-4m2 (No. 115)
Inequivalent atoms, fractional coordinates:
Na  0.0000  0.0000  0.0000
Na  0.0000  0.5000  0.7437
Na  0.5000  0.5000  0.5000
Ni  0.0000  0.0000  0.5000
Ge  0.0000  0.5000  0.2552
Pt  0.5000  0.5000  0.0000

Principal peaks in the range 10° ≤ 2θ ≤ 80°, in order of rising 2θ:
13.5 deg, I 11, hkl 0 0 1
19.2 deg, I 12, hkl 1 0 0
23.5 deg, I 51, hkl 1 0 1
30.5 deg, I 9, hkl 1 1 1
38.8 deg, I 100, hkl 2 0 0
45.9 deg, I 26, hkl 2 1 1
56.1 deg, I 11, hkl 2 2 0
61.7 deg, I 11, hkl 3 0 1
70.3 deg, I 33, hkl 3 1 2
75.3 deg, I 6, hkl 3 2 1



# 8
# AlReSiH6
Theoretical powder diffractogram, copper Kα. Input: a PBE-relaxed structure.

Structure:
Unit cell a=6.2513 b=6.2513 c=6.2513 alpha=90.00 beta=90.00 gamma=90.00
Space group F-43m (No. 216)
Inequivalent atoms, fractional coordinates:
Al  0.0000  0.0000  0.0000
Re  0.2500  0.2500  0.2500
Si  0.2500  0.2500  0.7500
H  0.0000  0.0000  0.2812

Principal peaks in the range 10° ≤ 2θ ≤ 80°, in order of rising 2θ:
24.7 deg, I 100, hkl 1 1 1
28.6 deg, I 71, hkl 2 0 0
40.8 deg, I 93, hkl 2 2 0
48.3 deg, I 52, hkl 3 1 1
50.6 deg, I 22, hkl 2 2 2
59.1 deg, I 17, hkl 4 0 0
65.0 deg, I 22, hkl 3 3 1
66.9 deg, I 27, hkl 4 2 0
74.3 deg, I 33, hkl 4 2 2
79.7 deg, I 16, hkl 3 3 3